Entry 1:
TbCl5: calculated powder diffraction line list (a wavelength of 1.5418 Å), based on a crystal structure in Alexandria, relaxed with GGA-PBE.
Neutral-atom scattering factors, no anomalous dispersion.

Crystal structure
Unit cell a=4.003 b=5.322 c=11.509 alpha=90.00 beta=92.15 gamma=90.00
Positions (direct):
Tb  0.000  0.000  0.000
Cl  0.001  0.500  0.000
Cl  0.483  0.000  0.846
Cl  0.517  0.000  0.154
Cl  0.522  0.500  0.586
Cl  0.553  0.500  0.414

Peak list (10 most intense, 2θ from 10° to 90°, in order of falling intensity)
d/Å, intensity
4.830, 100.0
5.750, 59.7
3.826, 31.6
3.735, 26.3
2.417, 24.5
2.661, 24.0
2.760, 17.4
5.322, 16.4
1.739, 16.2
2.717, 16.0


Entry 2:
Tl3Sn8Pb: calculated powder diffraction line list (a wavelength of 1.5418 Å), based on a crystal structure in Alexandria, relaxed with GGA-PBE.
Neutral-atom scattering factors, no anomalous dispersion.

Crystal structure
Unit cell a=10.922 b=10.922 c=10.922 alpha=33.99 beta=33.99 gamma=33.99
Positions (direct):
Tl  0.000  0.000  0.000
Tl  0.121  0.121  0.121
Tl  0.623  0.623  0.623
Sn  0.060  0.060  0.559
Sn  0.060  0.559  0.060
Sn  0.062  0.561  0.561
Sn  0.310  0.310  0.310
Sn  0.559  0.060  0.060
Sn  0.561  0.062  0.561
Sn  0.561  0.561  0.062
Sn  0.810  0.810  0.810
Pb  0.500  0.500  0.500

Peak list (10 most intense, 2θ from 10° to 90°, in order of falling intensity)
d/Å, intensity
2.712, 100.0
2.694, 58.1
2.721, 55.2
3.193, 47.5
3.163, 46.0
2.603, 43.7
1.730, 32.1
1.596, 31.9
1.581, 30.4
1.735, 27.3


Entry 3:
YNi8B4: calculated powder diffraction line list (a wavelength of 1.5418 Å), based on a crystal structure in Alexandria, relaxed with GGA-PBE.
Neutral-atom scattering factors, no anomalous dispersion.

Crystal structure
Unit cell a=5.835 b=5.835 c=5.835 alpha=98.42 beta=98.42 gamma=135.00
Positions (direct):
Y  0.000  0.000  0.000
Ni  0.000  0.342  0.342
Ni  0.000  0.658  0.658
Ni  0.273  0.500  0.773
Ni  0.342  0.000  0.342
Ni  0.500  0.273  0.773
Ni  0.500  0.727  0.227
Ni  0.658  0.000  0.658
Ni  0.727  0.500  0.227
B  0.000  0.000  0.500
B  0.000  0.500  0.000
B  0.500  0.000  0.000
B  0.500  0.500  0.500

Peak list (10 most intense, 2θ from 10° to 90°, in order of falling intensity)
d/Å, intensity
1.911, 100.0
2.233, 57.8
2.209, 49.3
1.906, 33.1
2.696, 31.7
1.101, 29.0
3.812, 27.9
1.720, 24.3
1.708, 22.0
1.217, 20.6